[1]
The following is a computed X-ray diffraction stick pattern of SiPb7N6. It was derived from a DFT-relaxed cell (GGA-PBE, the Materials Project), using a wavelength of 1.5418 Å.
Kinematic intensities with the Lorentz-polarization factor, no thermal factor.

Structural model:
Cell lengths 12.7049, 7.3243, 12.5821 Å; angles 90.00, 90.00, 90.00 degrees
Positions (direct):
Si 0.0000 0.1571 0.2500
Si 0.0000 0.8429 0.7500
Si 0.5000 0.3429 0.7500
Si 0.5000 0.6571 0.2500
Pb 0.0000 0.4377 0.7500
Pb 0.0000 0.5623 0.2500
Pb 0.0085 0.2328 0.5212
Pb 0.0085 0.7672 0.0212
Pb 0.2129 0.1744 0.1319
Pb 0.2129 0.8256 0.6319
Pb 0.2448 0.0451 0.8653
Pb 0.2448 0.9549 0.3653
Pb 0.2552 0.4549 0.3653
Pb 0.2552 0.5451 0.8653
Pb 0.2871 0.3256 0.6319
Pb 0.2871 0.6744 0.1319
Pb 0.4915 0.2672 0.0212
Pb 0.4915 0.7328 0.5212
Pb 0.5000 0.0623 0.2500
Pb 0.5000 0.9377 0.7500
Pb 0.5085 0.2672 0.4788
Pb 0.5085 0.7328 0.9788
Pb 0.7129 0.3256 0.8681
Pb 0.7129 0.6744 0.3681
Pb 0.7448 0.4549 0.1347
Pb 0.7448 0.5451 0.6347
Pb 0.7552 0.0451 0.6347
Pb 0.7552 0.9549 0.1347
Pb 0.7871 0.1744 0.3681
Pb 0.7871 0.8256 0.8681
Pb 0.9915 0.2328 0.9788
Pb 0.9915 0.7672 0.4788
N 0.0316 0.0437 0.1300
N 0.0316 0.9563 0.6300
N 0.1074 0.3132 0.2686
N 0.1074 0.6868 0.7686
N 0.1748 0.2938 0.9660
N 0.1748 0.7062 0.4660
N 0.3252 0.2062 0.4660
N 0.3252 0.7938 0.9660
N 0.3926 0.1868 0.7686
N 0.3926 0.8132 0.2686
N 0.4684 0.4563 0.6300
N 0.4684 0.5437 0.1300
N 0.5316 0.4563 0.8700
N 0.5316 0.5437 0.3700
N 0.6074 0.1868 0.7314
N 0.6074 0.8132 0.2314
N 0.6748 0.2062 0.0340
N 0.6748 0.7938 0.5340
N 0.8252 0.2938 0.5340
N 0.8252 0.7062 0.0340
N 0.8926 0.3132 0.2314
N 0.8926 0.6868 0.7314
N 0.9684 0.0437 0.3700
N 0.9684 0.9563 0.8700

Most intense lines, 2θ = 10–90°, by intensity:
2θ (°), I/Imax
31.7, 100
28.1, 78
29.1, 45
31.6, 37
35.4, 28
19.9, 26
28.2, 25
52.5, 24
52.1, 23
26.3, 22

---

[2]
The following is a computed X-ray diffraction stick pattern of SiPbN2. It was derived from a DFT-relaxed cell (GGA-PBE, the Materials Project), using a wavelength of 1.5418 Å.
Kinematic intensities with the Lorentz-polarization factor, no thermal factor.

Structural model:
Cell lengths 5.6765, 7.5623, 5.1648 Å; angles 90.00, 90.00, 90.00 degrees
Positions (direct):
Si 0.0148 0.1268 0.0000
Si 0.4852 0.6268 0.5000
Si 0.5148 0.3732 0.0000
Si 0.9852 0.8732 0.5000
Pb 0.0780 0.6263 0.0149
Pb 0.4220 0.1263 0.5149
Pb 0.5780 0.8737 0.0149
Pb 0.9220 0.3737 0.5149
N 0.0056 0.0780 0.3328
N 0.2303 0.7423 0.4112
N 0.2697 0.2423 0.9112
N 0.4944 0.5780 0.8328
N 0.5056 0.4220 0.3328
N 0.7303 0.7577 0.4112
N 0.7697 0.2577 0.9112
N 0.9944 0.9220 0.8328

Most intense lines, 2θ = 10–90°, by intensity:
2θ (°), I/Imax
33.3, 100
20.8, 49
19.6, 36
36.1, 29
34.7, 28
61.4, 20
40.2, 19
26.1, 19
28.4, 18
33.7, 17

---

[3]
The following is a computed X-ray diffraction stick pattern of Sn2Pb5N6. It was derived from a DFT-relaxed cell (GGA-PBE, the Materials Project), using a wavelength of 1.5418 Å.
Kinematic intensities with the Lorentz-polarization factor, no thermal factor.

Structural model:
Cell lengths 6.3899, 6.3899, 14.5264 Å; angles 96.67, 96.67, 68.54 degrees
Positions (direct):
Sn 0.1073 0.3719 0.4136
Sn 0.3719 0.1073 0.9136
Sn 0.6281 0.8927 0.0864
Sn 0.8927 0.6281 0.5864
Pb 0.1143 0.1264 0.6861
Pb 0.1264 0.1143 0.1861
Pb 0.2132 0.6325 0.0392
Pb 0.3675 0.7868 0.4608
Pb 0.4743 0.5257 0.7500
Pb 0.5257 0.4743 0.2500
Pb 0.6325 0.2132 0.5392
Pb 0.7868 0.3675 0.9608
Pb 0.8736 0.8857 0.8139
Pb 0.8857 0.8736 0.3139
N 0.0540 0.1663 0.8502
N 0.1663 0.0540 0.3502
N 0.2254 0.4043 0.5565
N 0.2256 0.5718 0.3426
N 0.4043 0.2254 0.0565
N 0.4282 0.7744 0.1574
N 0.5718 0.2256 0.8426
N 0.5957 0.7746 0.9435
N 0.7744 0.4282 0.6574
N 0.7746 0.5957 0.4435
N 0.8337 0.9460 0.6498
N 0.9460 0.8337 0.1498

Most intense lines, 2θ = 10–90°, by intensity:
2θ (°), I/Imax
27.7, 100
32.1, 98
33.6, 81
29.6, 77
28.0, 65
50.9, 43
22.9, 43
29.9, 39
28.3, 39
28.5, 36

---

[4]
The following is a computed X-ray diffraction stick pattern of SnPbN2. It was derived from a DFT-relaxed cell (GGA-PBE, the Materials Project), using a wavelength of 1.5418 Å.
Kinematic intensities with the Lorentz-polarization factor, no thermal factor.

Structural model:
Cell lengths 4.0409, 4.0409, 8.2326 Å; angles 90.00, 90.00, 90.00 degrees
Positions (direct):
Sn 0.2500 0.2500 0.1049
Sn 0.7500 0.7500 0.8951
Pb 0.2500 0.2500 0.6333
Pb 0.7500 0.7500 0.3667
N 0.2500 0.2500 0.3559
N 0.2500 0.7500 0.0000
N 0.7500 0.2500 0.0000
N 0.7500 0.7500 0.6441

Most intense lines, 2θ = 10–90°, by intensity:
2θ (°), I/Imax
31.0, 100
31.3, 55
55.5, 41
44.9, 24
55.0, 23
64.6, 13
74.2, 10
44.0, 10
89.7, 9
74.1, 9

---

[5]
The following is a computed X-ray diffraction stick pattern of SnPb7N6. It was derived from a DFT-relaxed cell (GGA-PBE, the Materials Project), using a wavelength of 1.5418 Å.
Kinematic intensities with the Lorentz-polarization factor, no thermal factor.

Structural model:
Cell lengths 12.7541, 7.3360, 13.1632 Å; angles 90.00, 90.00, 90.00 degrees
Positions (direct):
Sn 0.0000 0.1459 0.2500
Sn 0.0000 0.8541 0.7500
Sn 0.5000 0.3541 0.7500
Sn 0.5000 0.6459 0.2500
Pb 0.0000 0.4207 0.7500
Pb 0.0000 0.5793 0.2500
Pb 0.0022 0.2393 0.5233
Pb 0.0022 0.7607 0.0233
Pb 0.2205 0.1949 0.1203
Pb 0.2205 0.8051 0.6203
Pb 0.2394 0.0324 0.8602
Pb 0.2394 0.9676 0.3602
Pb 0.2606 0.4676 0.3602
Pb 0.2606 0.5324 0.8602
Pb 0.2795 0.3051 0.6203
Pb 0.2795 0.6949 0.1203
Pb 0.4978 0.2607 0.0233
Pb 0.4978 0.7393 0.5233
Pb 0.5000 0.0793 0.2500
Pb 0.5000 0.9207 0.7500
Pb 0.5022 0.2607 0.4767
Pb 0.5022 0.7393 0.9767
Pb 0.7205 0.3051 0.8797
Pb 0.7205 0.6949 0.3797
Pb 0.7394 0.4676 0.1398
Pb 0.7394 0.5324 0.6398
Pb 0.7606 0.0324 0.6398
Pb 0.7606 0.9676 0.1398
Pb 0.7795 0.1949 0.3797
Pb 0.7795 0.8051 0.8797
Pb 0.9978 0.2393 0.9767
Pb 0.9978 0.7607 0.4767
N 0.0459 0.0406 0.1100
N 0.0459 0.9594 0.6100
N 0.1197 0.3507 0.2567
N 0.1197 0.6493 0.7567
N 0.1796 0.2921 0.9588
N 0.1796 0.7079 0.4588
N 0.3204 0.2079 0.4588
N 0.3204 0.7921 0.9588
N 0.3803 0.1493 0.7567
N 0.3803 0.8507 0.2567
N 0.4541 0.4594 0.6100
N 0.4541 0.5406 0.1100
N 0.5459 0.4594 0.8900
N 0.5459 0.5406 0.3900
N 0.6197 0.1493 0.7433
N 0.6197 0.8507 0.2433
N 0.6796 0.2079 0.0412
N 0.6796 0.7921 0.5412
N 0.8204 0.2921 0.5412
N 0.8204 0.7079 0.0412
N 0.8803 0.3507 0.2433
N 0.8803 0.6493 0.7433
N 0.9541 0.0406 0.3900
N 0.9541 0.9594 0.8900

Most intense lines, 2θ = 10–90°, by intensity:
2θ (°), I/Imax
30.6, 100
28.0, 72
28.7, 51
35.1, 29
27.8, 23
51.2, 18
39.9, 16
48.9, 15
25.2, 14
31.2, 13

---

Please write out number 2 again, unchanged.
The following is a computed X-ray diffraction stick pattern of SiPbN2. It was derived from a DFT-relaxed cell (GGA-PBE, the Materials Project), using a wavelength of 1.5418 Å.
Kinematic intensities with the Lorentz-polarization factor, no thermal factor.

Structural model:
Cell lengths 5.6765, 7.5623, 5.1648 Å; angles 90.00, 90.00, 90.00 degrees
Positions (direct):
Si 0.0148 0.1268 0.0000
Si 0.4852 0.6268 0.5000
Si 0.5148 0.3732 0.0000
Si 0.9852 0.8732 0.5000
Pb 0.0780 0.6263 0.0149
Pb 0.4220 0.1263 0.5149
Pb 0.5780 0.8737 0.0149
Pb 0.9220 0.3737 0.5149
N 0.0056 0.0780 0.3328
N 0.2303 0.7423 0.4112
N 0.2697 0.2423 0.9112
N 0.4944 0.5780 0.8328
N 0.5056 0.4220 0.3328
N 0.7303 0.7577 0.4112
N 0.7697 0.2577 0.9112
N 0.9944 0.9220 0.8328

Most intense lines, 2θ = 10–90°, by intensity:
2θ (°), I/Imax
33.3, 100
20.8, 49
19.6, 36
36.1, 29
34.7, 28
61.4, 20
40.2, 19
26.1, 19
28.4, 18
33.7, 17